[1]
Diffraction record for SrNd5S8. The X-ray powder pattern is computed, not measured: it uses a structure optimized by DFT (PBE) and a wavelength of 1.5418 Å.
Lines closer than 0.1° are merged.

Main lines, sorted by position (2θ from 5° to 70°):
25.24 deg, intensity 100.0; 29.23 deg, intensity 8.2; 32.77 deg, intensity 100.0; 39.00 deg, intensity 62.5; 47.03 deg, intensity 40.9; 49.47 deg, intensity 26.6; 51.83 deg, intensity 9.0; 54.12 deg, intensity 31.7; 58.50 deg, intensity 8.6; 66.73 deg, intensity 38.0

Cell and atoms:
Lattice parameters (Å, degrees): 7.484 7.484 7.484 109.48 109.48 109.45
Fractional coordinates of all 14 atoms:
Sr1 0.000 0.000 0.000
Nd1 0.249 0.623 0.127
Nd2 0.377 0.503 0.625
Nd3 0.497 0.122 0.873
Nd4 0.750 0.250 0.500
Nd5 0.878 0.751 0.375
S1 0.126 0.721 0.747
S2 0.128 0.232 0.746
S3 0.279 0.025 0.405
S4 0.485 0.382 0.254
S5 0.618 0.872 0.104
S6 0.621 0.874 0.595
S7 0.768 0.515 0.896
S8 0.975 0.379 0.253

[2]
Diffraction record for Zr2Co4P3. The X-ray powder pattern is computed, not measured: it uses a structure optimized by DFT (PBE) and a wavelength of 1.5418 Å.
Lines closer than 0.1° are merged.

Main lines, sorted by position (2θ from 5° to 70°):
29.48 deg, intensity 8.6; 35.45 deg, intensity 7.6; 38.53 deg, intensity 100.0; 39.34 deg, intensity 12.9; 39.51 deg, intensity 32.6; 46.75 deg, intensity 9.4; 48.28 deg, intensity 10.3; 49.69 deg, intensity 23.5; 50.06 deg, intensity 8.6; 52.30 deg, intensity 19.3

Cell and atoms:
Lattice parameters (Å, degrees): 12.120 12.120 3.670 90.00 90.00 120.00
Fractional coordinates of all 36 atoms:
Zr1 0.000 0.177 0.000
Zr2 0.000 0.556 0.500
Zr3 0.177 0.000 0.000
Zr4 0.333 0.667 0.500
Zr5 0.444 0.444 0.500
Zr6 0.556 0.000 0.500
Zr7 0.667 0.333 0.500
Zr8 0.823 0.823 0.000
Co1 0.000 0.000 0.500
Co2 0.000 0.723 0.000
Co3 0.126 0.481 0.000
Co4 0.179 0.807 0.500
Co5 0.193 0.372 0.500
Co6 0.277 0.277 0.000
Co7 0.355 0.874 0.000
Co8 0.372 0.193 0.500
Co9 0.481 0.126 0.000
Co10 0.519 0.645 0.000
Co11 0.628 0.821 0.500
Co12 0.645 0.519 0.000
Co13 0.723 0.000 0.000
Co14 0.807 0.179 0.500
Co15 0.821 0.628 0.500
Co16 0.874 0.355 0.000
P1 0.000 0.346 0.500
P2 0.000 0.824 0.500
P3 0.174 0.692 0.000
P4 0.176 0.176 0.500
P5 0.308 0.481 0.000
P6 0.346 0.000 0.500
P7 0.481 0.308 0.000
P8 0.519 0.826 0.000
P9 0.654 0.654 0.500
P10 0.692 0.174 0.000
P11 0.824 0.000 0.500
P12 0.826 0.519 0.000

[3]
Diffraction record for Rh3Se8. The X-ray powder pattern is computed, not measured: it uses a structure optimized by DFT (PBE) and a wavelength of 1.5418 Å.
Lines closer than 0.1° are merged.

Main lines, sorted by position (2θ from 5° to 70°):
29.49 deg, intensity 69.7; 32.84 deg, intensity 100.0; 33.27 deg, intensity 43.2; 36.22 deg, intensity 62.3; 36.81 deg, intensity 46.8; 49.54 deg, intensity 31.0; 49.85 deg, intensity 61.0; 50.46 deg, intensity 27.8; 54.18 deg, intensity 34.0; 56.93 deg, intensity 27.2

Cell and atoms:
Lattice parameters (Å, degrees): 6.060 6.060 6.060 90.89 90.89 90.89
Fractional coordinates of all 11 atoms:
Rh1 0.000 0.500 0.500
Rh2 0.500 0.000 0.500
Rh3 0.500 0.500 0.000
Se1 0.112 0.383 0.882
Se2 0.118 0.888 0.617
Se3 0.379 0.379 0.379
Se4 0.383 0.882 0.112
Se5 0.617 0.118 0.888
Se6 0.621 0.621 0.621
Se7 0.882 0.112 0.383
Se8 0.888 0.617 0.118

[4]
Diffraction record for Mg3Zn. The X-ray powder pattern is computed, not measured: it uses a structure optimized by DFT (PBE) and a wavelength of 1.5418 Å.
Lines closer than 0.1° are merged.

Main lines, sorted by position (2θ from 5° to 70°):
9.25 deg, intensity 70.7; 18.56 deg, intensity 13.1; 32.81 deg, intensity 31.6; 34.16 deg, intensity 14.8; 37.64 deg, intensity 20.8; 37.96 deg, intensity 100.0; 43.67 deg, intensity 12.8; 50.78 deg, intensity 17.7; 58.58 deg, intensity 17.5; 68.15 deg, intensity 14.4

Cell and atoms:
Lattice parameters (Å, degrees): 3.152 3.152 9.560 90.00 90.00 120.00
Fractional coordinates of all 4 atoms:
Mg1 0.000 0.000 0.000
Mg2 0.667 0.333 0.269
Mg3 0.667 0.333 0.731
Zn1 0.000 0.000 0.500